Calculated PXRD pattern
Compound: Na3LaZrSi2SO12
Radiation: Cu Ka
Structure: a structure optimized by DFT (PBE)
Lines closer than 0.1° are merged.

Most intense lines, 5 to 70 degrees two-theta, in order of falling intensity:
| 2θ/deg | I/Imax |
| --- | --- |
| 18.59 | 100 |
| 18.77 | 39 |
| 32.55 | 37 |
| 29.80 | 34 |
| 29.91 | 31 |
| 44.79 | 31 |
| 32.40 | 30 |
| 29.60 | 29 |
| 13.15 | 26 |
| 21.96 | 23 |

Structure:
a = 9.454 Å, b = 9.454 Å, c = 9.547 Å
α = 119.63°, β = 119.63°, γ = 60.43°
Fractional positions:
Na  0.063  0.937  0.500
Na  0.311  0.851  0.935
Na  0.575  0.708  0.298
Na  0.708  0.575  0.798
Na  0.851  0.311  0.435
Na  0.937  0.063  0.000
La  0.450  0.982  0.760
La  0.982  0.450  0.260
Zr  0.138  0.664  0.030
Zr  0.664  0.138  0.530
Si  0.033  0.260  0.842
Si  0.260  0.033  0.342
Si  0.760  0.856  0.158
Si  0.856  0.760  0.658
S  0.383  0.549  0.448
S  0.549  0.383  0.948
O  0.031  0.756  0.834
O  0.077  0.183  0.292
O  0.080  0.440  0.908
O  0.183  0.077  0.792
O  0.233  0.521  0.429
O  0.268  0.855  0.170
O  0.268  0.992  0.492
O  0.349  0.587  0.298
O  0.392  0.539  0.964
O  0.412  0.693  0.611
O  0.440  0.080  0.408
O  0.521  0.233  0.929
O  0.539  0.392  0.464
O  0.587  0.349  0.798
O  0.587  0.876  0.993
O  0.693  0.412  0.111
O  0.700  0.787  0.705
O  0.756  0.031  0.334
O  0.787  0.700  0.205
O  0.810  0.939  0.622
O  0.855  0.268  0.670
O  0.876  0.587  0.493
O  0.939  0.810  0.122
O  0.992  0.268  0.992